No. 1
For LiMg4SnO8, a structure optimized by DFT (PBE) gives the theoretical powder diffractogram in this record (CuKα).
Kinematic intensities with the Lorentz-polarization factor, no thermal factor.

Crystal structure
```
data_LiMg4SnO8
_chemical_formula_sum 'Li2 Mg8 Sn2 O16'
_cell_length_a 6.0645
_cell_length_b 6.0645
_cell_length_c 10.0273
_cell_angle_alpha 90.00
_cell_angle_beta 90.00
_cell_angle_gamma 120.00
_space_group_name_H-M_alt 'P 63 m c'
_space_group_IT_number 186
_space_group_name_Hall 'P 6c -2c'
loop_
_atom_site_label
_atom_site_fract_x
_atom_site_fract_y
_atom_site_fract_z
_atom_site_occupancy
Li1 0.0000 0.0000 0.0000 1
Mg1 0.1706 0.3412 0.2815 1
Mg2 0.3333 0.6667 0.5906 1
Sn1 0.3333 0.6667 0.0051 1
O1 0.0000 0.0000 0.1842 1
O2 0.0308 0.5154 0.1476 1
O3 0.1638 0.3276 0.8985 1
O4 0.3333 0.6667 0.3933 1
```

Top 10 peaks for 5 to 70 degrees two-theta, in order of rising 2θ:
hkl 1 0 0, 2θ = 16.9°, 5.252 Å, intensity 274
hkl 1 0 1, 2θ = 19.1°, 4.652 Å, intensity 1000
hkl 1 0 2, 2θ = 24.5°, 3.627 Å, intensity 476
hkl 1 1 0, 2θ = 29.5°, 3.032 Å, intensity 378
hkl 1 0 3, 2θ = 31.7°, 2.820 Å, intensity 548
hkl 1 1 2, 2θ = 34.6°, 2.595 Å, intensity 752
hkl 2 0 3, 2θ = 43.8°, 2.065 Å, intensity 263
hkl 2 1 3, 2θ = 53.7°, 1.707 Å, intensity 312
hkl 2 0 5, 2θ = 57.9°, 1.594 Å, intensity 376
hkl 2 2 0, 2θ = 61.1°, 1.516 Å, intensity 314

***

No. 2
For Li2MgTi3O8, a structure optimized by DFT (PBE) gives the theoretical powder diffractogram in this record (CuKα).
Kinematic intensities with the Lorentz-polarization factor, no thermal factor.

Crystal structure
```
data_Li2MgTi3O8
_chemical_formula_sum 'Li6 Mg3 Ti9 O24'
_cell_length_a 5.9801
_cell_length_b 5.9801
_cell_length_c 14.6240
_cell_angle_alpha 90.00
_cell_angle_beta 90.00
_cell_angle_gamma 120.00
_space_group_name_H-M_alt 'R 3 m'
_space_group_IT_number 160
_space_group_name_Hall 'R 3 -2"'
loop_
_atom_site_label
_atom_site_fract_x
_atom_site_fract_y
_atom_site_fract_z
_atom_site_occupancy
Li1 0.0000 0.0000 0.0000 1
Li2 0.0000 0.0000 0.3805 1
Mg1 0.0000 0.0000 0.7611 1
Ti1 0.0046 0.5023 0.8804 1
O1 0.0000 0.0000 0.1388 1
O2 0.0000 0.0000 0.6219 1
O3 0.0270 0.5135 0.1405 1
O4 0.1809 0.3618 0.9495 1
```

Top 10 peaks for 5 to 70 degrees two-theta, in order of rising 2θ:
hkl 0 0 3, 2θ = 18.2°, 4.876 Å, intensity 1000
hkl 0 1 2, 2θ = 21.0°, 4.226 Å, intensity 178
hkl 1 0 4, 2θ = 29.9°, 2.987 Å, intensity 175
hkl 0 2 1, 2θ = 35.2°, 2.549 Å, intensity 725
hkl 0 2 4, 2θ = 42.8°, 2.113 Å, intensity 585
hkl 2 0 5, 2θ = 46.9°, 1.939 Å, intensity 58
hkl 1 1 6, 2θ = 48.2°, 1.890 Å, intensity 69
hkl 0 2 7, 2θ = 56.6°, 1.626 Å, intensity 332
hkl 2 2 0, 2θ = 62.1°, 1.494 Å, intensity 479
hkl 2 2 3, 2θ = 65.3°, 1.429 Å, intensity 129

***

No. 3
For Li2MgTi9O20, a structure optimized by DFT (PBE) gives the theoretical powder diffractogram in this record (CuKα).
Kinematic intensities with the Lorentz-polarization factor, no thermal factor.

Crystal structure
```
data_Li2MgTi9O20
_chemical_formula_sum 'Li2 Mg1 Ti9 O20'
_cell_length_a 5.2418
_cell_length_b 10.0757
_cell_length_c 7.4737
_cell_angle_alpha 90.00
_cell_angle_beta 109.94
_cell_angle_gamma 90.00
_space_group_name_H-M_alt 'P 1 m 1'
_space_group_IT_number 6
_space_group_name_Hall 'P -2y'
loop_
_atom_site_label
_atom_site_fract_x
_atom_site_fract_y
_atom_site_fract_z
_atom_site_occupancy
Li1 0.0000 0.0000 0.0000 1
Li2 0.0712 0.5000 0.3058 1
Mg1 0.4879 0.0000 0.4970 1
Ti1 0.0921 0.3100 0.9736 1
Ti2 0.4945 0.1790 0.8326 1
Ti3 0.5844 0.5000 0.8029 1
Ti4 0.5893 0.3155 0.4617 1
Ti5 0.9868 0.1820 0.3330 1
O1 0.1031 0.0000 0.2965 1
O2 0.2193 0.1415 0.9215 1
O3 0.2649 0.3145 0.2403 1
O4 0.3156 0.1886 0.5574 1
O5 0.3616 0.3719 0.8761 1
O6 0.4691 0.5000 0.5310 1
O7 0.6047 0.0000 0.7928 1
O8 0.7171 0.1365 0.4260 1
O9 0.7521 0.3166 0.7462 1
O10 0.8158 0.1966 0.0579 1
O11 0.8554 0.3627 0.3781 1
O12 0.9359 0.5000 0.9934 1
```

Top 10 peaks for 5 to 70 degrees two-theta, in order of rising 2θ:
hkl 0 2 0, 2θ = 17.6°, 5.038 Å, intensity 416
hkl 1 0 -1, 2θ = 18.1°, 4.895 Å, intensity 185
hkl 1 1 -1, 2θ = 20.2°, 4.403 Å, intensity 165
hkl 1 0 1, 2θ = 25.4°, 3.512 Å, intensity 1000
hkl 1 3 -1, 2θ = 32.3°, 2.769 Å, intensity 584
hkl 2 2 -2, 2θ = 41.0°, 2.201 Å, intensity 164
hkl 1 0 3, 2θ = 48.4°, 1.881 Å, intensity 299
hkl 1 5 -1, 2θ = 48.9°, 1.863 Å, intensity 166
hkl 0 3 4, 2θ = 59.4°, 1.556 Å, intensity 177
hkl 2 3 -4, 2θ = 60.0°, 1.543 Å, intensity 159

***

No. 4
For Li3MgTi8O16, a structure optimized by DFT (PBE) gives the theoretical powder diffractogram in this record (CuKα).
Kinematic intensities with the Lorentz-polarization factor, no thermal factor.

Crystal structure
```
data_Li3MgTi8O16
_chemical_formula_sum 'Li9 Mg3 Ti24 O48'
_cell_length_a 5.9878
_cell_length_b 5.9878
_cell_length_c 29.6275
_cell_angle_alpha 90.00
_cell_angle_beta 90.00
_cell_angle_gamma 120.00
_space_group_name_H-M_alt 'R 3 m'
_space_group_IT_number 160
_space_group_name_Hall 'R 3 -2"'
loop_
_atom_site_label
_atom_site_fract_x
_atom_site_fract_y
_atom_site_fract_z
_atom_site_occupancy
Li1 0.0000 0.0000 0.0000 1
Li2 0.0000 0.0000 0.1222 1
Li3 0.0000 0.0000 0.4969 1
Mg1 0.0000 0.0000 0.3118 1
Ti1 0.0000 0.0000 0.6223 1
Ti2 0.0000 0.0000 0.8094 1
Ti3 0.0075 0.5037 0.5583 1
Ti4 0.0080 0.5040 0.0607 1
O1 0.0000 0.0000 0.1927 1
O2 0.0000 0.0000 0.4303 1
O3 0.0000 0.0000 0.6875 1
O4 0.0000 0.0000 0.9290 1
O5 0.0114 0.5057 0.9339 1
O6 0.0359 0.5180 0.4332 1
O7 0.1809 0.3619 0.0232 1
O8 0.1816 0.3633 0.5203 1
```

Top 10 peaks for 5 to 70 degrees two-theta, in order of rising 2θ:
hkl 1 0 1, 2θ = 17.4°, 5.108 Å, intensity 145
hkl 0 0 6, 2θ = 18.0°, 4.938 Å, intensity 492
hkl 0 1 2, 2θ = 18.1°, 4.894 Å, intensity 800
hkl 1 0 10, 2θ = 34.9°, 2.572 Å, intensity 258
hkl 2 0 2, 2θ = 35.1°, 2.558 Å, intensity 899
hkl 2 0 8, 2θ = 42.6°, 2.124 Å, intensity 1000
hkl 2 0 14, 2θ = 56.1°, 1.639 Å, intensity 140
hkl 2 1 10, 2θ = 56.3°, 1.635 Å, intensity 197
hkl 0 2 16, 2θ = 61.5°, 1.507 Å, intensity 402
hkl 2 2 0, 2θ = 62.0°, 1.497 Å, intensity 400

***

No. 5
For Li2MgTi3O8, a structure optimized by DFT (PBE) gives the theoretical powder diffractogram in this record (CuKα).
Kinematic intensities with the Lorentz-polarization factor, no thermal factor.

Crystal structure
```
data_Li2MgTi3O8
_chemical_formula_sum 'Li8 Mg4 Ti12 O32'
_cell_length_a 8.4503
_cell_length_b 8.4503
_cell_length_c 8.4503
_cell_angle_alpha 90.00
_cell_angle_beta 90.00
_cell_angle_gamma 90.00
_space_group_name_H-M_alt 'P 21 3'
_space_group_IT_number 198
_space_group_name_Hall 'P 2ac 2ab 3'
loop_
_atom_site_label
_atom_site_fract_x
_atom_site_fract_y
_atom_site_fract_z
_atom_site_occupancy
Li1 0.0024 0.4976 0.5024 1
Li2 0.1246 0.8754 0.3754 1
Mg1 0.2471 0.7471 0.7529 1
Ti1 0.1199 0.6268 0.1342 1
O1 0.1070 0.1282 0.3895 1
O2 0.1118 0.6118 0.8882 1
O3 0.1221 0.1442 0.8589 1
O4 0.1388 0.3612 0.6388 1
```

Top 10 peaks for 5 to 70 degrees two-theta, in order of rising 2θ:
hkl 1 1 0, 2θ = 14.8°, 5.975 Å, intensity 246
hkl 1 1 1, 2θ = 18.2°, 4.879 Å, intensity 1000
hkl 2 0 1, 2θ = 23.5°, 3.779 Å, intensity 371
hkl 2 1 1, 2θ = 25.8°, 3.450 Å, intensity 232
hkl 2 2 0, 2θ = 29.9°, 2.988 Å, intensity 95
hkl 3 1 1, 2θ = 35.2°, 2.548 Å, intensity 959
hkl 4 0 0, 2θ = 42.8°, 2.113 Å, intensity 872
hkl 5 1 1, 2θ = 56.6°, 1.626 Å, intensity 420
hkl 4 4 0, 2θ = 62.1°, 1.494 Å, intensity 713
hkl 5 3 1, 2θ = 65.3°, 1.428 Å, intensity 121